Entry 1:
# Pr6Cd5
Simulated X-ray powder pattern, Cu Kα X-rays. Input: DFT lattice parameters and positions (PBE).

Largest 6 diffraction maxima, in order of falling intensity, 15 to 90 degrees two-theta:
2θ (°), I (rel.)
32.8, 100
33.3, 24
33.4, 23
59.1, 18
47.9, 17
59.3, 17

Unit cell a=5.3879 b=16.0909 c=7.8671 alpha=90.00 beta=90.00 gamma=90.00
Space group Cmmm (No. 65)
Inequivalent atoms, fractional coordinates:
Pr  0.0000  0.0000  0.2439 [4 per cell]
Pr  0.0000  0.3385  0.2466 [8 per cell]
Cd  0.0000  0.1694  0.5000 [4 per cell]
Cd  0.0000  0.1731  0.0000 [4 per cell]
Cd  0.0000  0.5000  0.5000 [2 per cell]


Entry 2:
# Li2PuIO8
Simulated X-ray powder pattern, Cu Kα X-rays. Input: DFT lattice parameters and positions (PBE).

Largest 6 diffraction maxima, in order of falling intensity, 15 to 90 degrees two-theta:
2θ (°), I (rel.)
18.5, 100
31.3, 42
28.4, 35
34.1, 28
52.2, 28
39.0, 22

Unit cell a=6.2781 b=6.2781 c=7.4598 alpha=90.00 beta=90.00 gamma=90.00
Space group I-4m2 (No. 119)
Inequivalent atoms, fractional coordinates:
Li  0.0000  0.0000  0.0000 [2 per cell]
Li  0.0000  0.5000  0.2500 [2 per cell]
Pu  0.0000  0.5000  0.7500 [2 per cell]
I  0.0000  0.0000  0.5000 [2 per cell]
O  0.0000  0.1989  0.7824 [8 per cell]
O  0.0000  0.2900  0.4429 [8 per cell]


Entry 3:
# Zn3CrPd12
Simulated X-ray powder pattern, Cu Kα X-rays. Input: DFT lattice parameters and positions (PBE).

Largest 6 diffraction maxima, in order of falling intensity, 15 to 90 degrees two-theta:
2θ (°), I (rel.)
39.9, 100
46.5, 32
81.8, 23
67.7, 20
46.2, 16
81.3, 12

Unit cell a=3.9033 b=3.9033 c=15.7121 alpha=90.00 beta=90.00 gamma=90.00
Space group P4/mmm (No. 123)
Inequivalent atoms, fractional coordinates:
Zn  0.0000  0.0000  0.0000 [1 per cell]
Zn  0.0000  0.0000  0.2486 [2 per cell]
Cr  0.0000  0.0000  0.5000 [1 per cell]
Pd  0.0000  0.5000  0.1251 [4 per cell]
Pd  0.0000  0.5000  0.3767 [4 per cell]
Pd  0.5000  0.5000  0.0000 [1 per cell]
Pd  0.5000  0.5000  0.2515 [2 per cell]
Pd  0.5000  0.5000  0.5000 [1 per cell]


Entry 4:
# Er5Sc2Ga4
Simulated X-ray powder pattern, Cu Kα X-rays. Input: DFT lattice parameters and positions (PBE).

Largest 6 diffraction maxima, in order of falling intensity, 15 to 90 degrees two-theta:
2θ (°), I (rel.)
35.0, 100
23.6, 70
28.6, 68
26.0, 65
36.6, 56
31.7, 38

Unit cell a=4.9154 b=10.3630 c=12.1481 alpha=90.00 beta=90.00 gamma=90.00
Space group Immm (No. 71)
Inequivalent atoms, fractional coordinates:
Er  0.0000  0.0000  0.0000 [2 per cell]
Er  0.0000  0.1592  0.3167 [8 per cell]
Sc  0.0000  0.5000  0.3177 [4 per cell]
Ga  0.0000  0.3400  0.5000 [4 per cell]
Ga  0.0000  0.5000  0.1020 [4 per cell]


Entry 5:
# Zr8Fe2Co
Simulated X-ray powder pattern, Cu Kα X-rays. Input: DFT lattice parameters and positions (PBE).

Largest 6 diffraction maxima, in order of falling intensity, 15 to 90 degrees two-theta:
2θ (°), I (rel.)
34.1, 100
34.5, 71
41.3, 71
37.9, 70
33.7, 66
40.0, 52

Unit cell a=7.2837 b=12.1316 c=5.4537 alpha=90.00 beta=112.35 gamma=90.00
Space group Cm (No. 8)
Inequivalent atoms, fractional coordinates:
Zr  0.0000  0.0000  0.0000 [2 per cell]
Zr  0.0861  0.3712  0.7876 [4 per cell]
Zr  0.1373  0.1281  0.5661 [4 per cell]
Zr  0.2236  0.5000  0.3671 [2 per cell]
Zr  0.3541  0.2058  0.1844 [4 per cell]
Fe  0.3634  0.3067  0.6846 [4 per cell]
Co  0.3645  0.0000  0.3469 [2 per cell]


Entry 6:
# NbCr3Ag2S8
Simulated X-ray powder pattern, Cu Kα X-rays. Input: DFT lattice parameters and positions (PBE).

Largest 6 diffraction maxima, in order of falling intensity, 15 to 90 degrees two-theta:
2θ (°), I (rel.)
31.2, 100
25.4, 90
20.4, 85
32.4, 75
17.6, 67
46.3, 56

Unit cell a=6.0388 b=6.9449 c=14.6697 alpha=102.50 beta=101.22 gamma=90.53
Space group P1 (No. 1)
Inequivalent atoms, fractional coordinates:
Nb  0.0000  0.0000  0.0000 [1 per cell]
Nb  0.3639  0.4265  0.5003 [1 per cell]
Cr  0.4149  0.8917  0.4942 [1 per cell]
Cr  0.4347  0.2641  0.9973 [1 per cell]
Cr  0.4465  0.7749  0.9954 [1 per cell]
Cr  0.9166  0.6507  0.5000 [1 per cell]
Cr  0.9183  0.1596  0.4976 [1 per cell]
Cr  0.9476  0.5296  0.9980 [1 per cell]
Ag  0.0034  0.4585  0.7500 [1 per cell]
Ag  0.5850  0.0705  0.2457 [1 per cell]
Ag  0.7521  0.0843  0.7476 [1 per cell]
Ag  0.8263  0.6971  0.2501 [1 per cell]
S  0.0121  0.3614  0.3924 [1 per cell]
S  0.0343  0.8608  0.4063 [1 per cell]
S  0.1587  0.3233  0.0947 [1 per cell]
S  0.1810  0.8113  0.1051 [1 per cell]
S  0.2335  0.4796  0.9058 [1 per cell]
S  0.2464  0.9690  0.8908 [1 per cell]
S  0.2863  0.7141  0.6045 [1 per cell]
S  0.2952  0.1873  0.5925 [1 per cell]
S  0.5375  0.1105  0.4074 [1 per cell]
S  0.5431  0.6055  0.4019 [1 per cell]
S  0.6497  0.5628  0.0861 [1 per cell]
S  0.6577  0.0646  0.0895 [1 per cell]
S  0.7313  0.7287  0.9008 [1 per cell]
S  0.7369  0.2327  0.9098 [1 per cell]
S  0.7904  0.4457  0.5920 [1 per cell]
S  0.7910  0.9458  0.5870 [1 per cell]


Entry 7:
# Nb3Te4Pd
Simulated X-ray powder pattern, Cu Kα X-rays. Input: DFT lattice parameters and positions (PBE).

Largest 6 diffraction maxima, in order of falling intensity, 15 to 90 degrees two-theta:
2θ (°), I (rel.)
24.1, 100
38.5, 75
39.9, 61
27.9, 61
37.9, 58
44.4, 57

Unit cell a=8.1527 b=8.7587 c=5.7019 alpha=90.00 beta=90.00 gamma=90.00
Space group Pmn2_1 (No. 31)
Inequivalent atoms, fractional coordinates:
Nb  0.0000  0.1527  0.0000 [2 per cell]
Nb  0.1825  0.3193  0.3305 [4 per cell]
Te  0.0000  0.0591  0.4531 [2 per cell]
Te  0.0000  0.8145  0.9106 [2 per cell]
Te  0.2187  0.3691  0.8375 [4 per cell]
Pd  0.0000  0.5804  0.5662 [2 per cell]


Entry 8:
# Pm3Nd2Rh4
Simulated X-ray powder pattern, Cu Kα X-rays. Input: DFT lattice parameters and positions (PBE).

Largest 6 diffraction maxima, in order of falling intensity, 15 to 90 degrees two-theta:
2θ (°), I (rel.)
35.0, 100
32.4, 60
31.1, 49
34.6, 27
30.6, 22
51.1, 16

Unit cell a=6.6242 b=16.4025 c=8.1076 alpha=90.00 beta=90.00 gamma=90.00
Space group Cmce (No. 64)
Inequivalent atoms, fractional coordinates:
Pm  0.0000  0.0000  0.0000 [4 per cell]
Pm  0.2500  0.2131  0.2500 [8 per cell]
Nd  0.0000  0.1004  0.6022 [8 per cell]
Rh  0.0000  0.1813  0.9398 [8 per cell]
Rh  0.2500  0.0430  0.2500 [8 per cell]